Record 1
Starting from a crystal structure in Alexandria, relaxed with PBE, the X-ray diffraction stick pattern of Na2NbIO6 was computed for Cu Ka.
Peak positions follow from Bragg's law for the DFT cell and can differ from measured ones.

The 10 most intense peaks (15° ≤ 2θ ≤ 90°), by angle:
index	two_theta	intensity
0 0 1	19.6	60
1 1 0	22.2	83
1 1 1	29.7	100
2 0 0	31.5	43
0 0 2	39.8	16
2 2 0	45.2	37
1 1 2	46.0	23
2 2 1	49.7	18
3 1 0	50.9	16
3 1 1	55.1	35

```
Na2NbIO6
1.0
5.672 0.000 0.000
0.000 5.672 0.000
0.000 0.000 4.532
Na Nb I O
2 1 1 6
direct
0.000 0.500 0.000
0.500 0.000 0.000
0.000 0.000 0.556
0.500 0.500 0.617
0.000 0.000 0.155
0.244 0.244 0.654
0.244 0.756 0.654
0.500 0.500 0.214
0.756 0.244 0.654
0.756 0.756 0.654
```

Record 2
Starting from a crystal structure in Alexandria, relaxed with PBE, the X-ray diffraction stick pattern of NaNdI2 was computed for Cu Ka.
Peak positions follow from Bragg's law for the DFT cell and can differ from measured ones.

The 10 most intense peaks (15° ≤ 2θ ≤ 90°), by angle:
index	two_theta	intensity
1 0 1	25.1	40
0 1 2	25.7	26
1 0 4	28.3	49
0 1 5	30.1	100
1 0 7	34.5	62
0 1 8	37.0	18
0 0 12	41.0	21
1 1 0	43.7	53
2 0 5	54.0	19
1 1 12	61.5	37

```
NaNdI2
1.0
4.140 0.000 0.000
-2.070 3.585 0.000
0.000 0.000 26.422
Na Nd I
3 3 6
direct
0.000 0.000 0.000
0.333 0.667 0.667
0.667 0.333 0.333
0.000 0.000 0.166
0.333 0.667 0.833
0.667 0.333 0.500
0.000 0.000 0.415
0.000 0.000 0.586
0.333 0.667 0.081
0.333 0.667 0.252
0.667 0.333 0.748
0.667 0.333 0.919
```

Record 3
Starting from a crystal structure in Alexandria, relaxed with PBE, the X-ray diffraction stick pattern of NaNdI4 was computed for Cu Ka.
Peak positions follow from Bragg's law for the DFT cell and can differ from measured ones.

The 10 most intense peaks (15° ≤ 2θ ≤ 90°), by angle:
index	two_theta	intensity
2 0 0	23.3	17
1 0 -2	24.4	39
1 1 -1	25.0	25
1 1 1	25.5	100
2 0 -2	31.4	22
2 1 1	32.9	31
0 1 3	38.8	35
0 2 0	39.4	18
3 1 -1	41.6	30
4 2 0	63.4	14

```
NaNdI4
1.0
7.651 0.000 0.000
0.000 4.573 0.000
-0.399 0.000 8.071
Na Nd I
1 1 4
direct
0.000 0.000 0.000
0.000 0.500 0.500
0.226 0.500 0.192
0.240 0.000 0.663
0.760 0.000 0.337
0.774 0.500 0.808
```